1.
For Zr3Bi4, DFT lattice parameters and positions (PBE) gives the computed X-ray powder pattern in this record (Cu Kα X-rays).
Intensities are scaled so that the largest is 100.

Largest 10 diffraction maxima, by angle, 5 to 70 degrees two-theta:
2θ/deg, Rel. int., h k l
25.00, 26, 4 0 0
27.25, 42, 0 0 2
28.34, 51, 1 1 1
28.56, 100, 3 1 -1
35.59, 30, 6 0 -2
35.82, 43, 3 1 1
43.63, 44, 3 1 -3
45.58, 23, 0 2 0
46.01, 23, 5 1 1
46.44, 19, 7 1 -1

Unit cell a=15.8777 b=3.9804 c=7.2939 alpha=90.00 beta=116.17 gamma=90.00
Space group C2/m (No. 12)
One atom of each set of equivalent atoms:
Zr 0.0000 0.0000 0.0000 x2
Zr 0.2416 0.0000 0.2329 x4
Bi 0.1170 0.5000 0.3197 x4
Bi 0.1176 0.0000 0.7751 x4

2.
For Yb6Co30P19, DFT lattice parameters and positions (PBE) gives the computed X-ray powder pattern in this record (Cu Kα X-rays).
Intensities are scaled so that the largest is 100.

Largest 10 diffraction maxima, by angle, 5 to 70 degrees two-theta:
2θ/deg, Rel. int., h k l
18.48, 10, 2 1 0
27.93, 12, 1 1 1
30.68, 10, 3 2 0
35.92, 12, 1 3 1
37.46, 13, 2 4 0
38.03, 18, 4 0 1
40.04, 100, 3 2 1
51.51, 19, 0 0 2
54.54, 20, 1 7 0
57.00, 10, 5 3 1

Unit cell a=14.6680 b=14.6680 c=3.5483 alpha=90.00 beta=90.00 gamma=120.00
Space group P-6 (No. 174)
One atom of each set of equivalent atoms:
Yb 0.0370 0.2729 0.0000 x3
Yb 0.4303 0.3712 0.5000 x3
Co 0.0594 0.4448 0.5000 x3
Co 0.0674 0.8166 0.5000 x3
Co 0.1082 0.0931 0.0000 x3
Co 0.1096 0.7149 0.0000 x3
Co 0.1980 0.6437 0.5000 x3
Co 0.2036 0.5101 0.0000 x3
Co 0.2599 0.1314 0.5000 x3
Co 0.4070 0.2018 0.0000 x3
Co 0.4840 0.0833 0.0000 x3
Co 0.5588 0.2401 0.5000 x3
P 0.0162 0.1182 0.5000 x3
P 0.0770 0.5481 0.0000 x3
P 0.1968 0.4109 0.5000 x3
P 0.2717 0.2345 0.0000 x3
P 0.3333 0.6667 0.0000 x1
P 0.3958 0.0993 0.5000 x3
P 0.5645 0.3493 0.0000 x3

3.
For K5P3Pd3, DFT lattice parameters and positions (PBE) gives the computed X-ray powder pattern in this record (Cu Kα X-rays).
Intensities are scaled so that the largest is 100.

Largest 10 diffraction maxima, by angle, 5 to 70 degrees two-theta:
2θ/deg, Rel. int., h k l
17.72, 100, 1 1 0
26.90, 76, 1 1 1
27.22, 26, 2 1 0
30.95, 72, 3 0 0
35.89, 16, 2 2 0
40.80, 15, 0 0 2
41.46, 15, 2 2 1
44.81, 17, 1 1 2
52.08, 31, 3 0 2
52.63, 15, 4 1 1

Unit cell a=10.0085 b=10.0085 c=4.4228 alpha=90.00 beta=90.00 gamma=120.00
Space group P-62m (No. 189)
One atom of each set of equivalent atoms:
K 0.0000 0.2702 0.0000 x3
K 0.3333 0.6667 0.0000 x2
P 0.0000 0.6361 0.0000 x3
Pd 0.0000 0.6368 0.5000 x3

4.
For ThPRu2N, DFT lattice parameters and positions (PBE) gives the computed X-ray powder pattern in this record (Cu Kα X-rays).
Intensities are scaled so that the largest is 100.

Largest 10 diffraction maxima, by angle, 5 to 70 degrees two-theta:
2θ/deg, Rel. int., h k l
29.57, 50, 0 2 2
33.28, 43, 0 4 1
33.48, 75, 1 3 0
35.88, 31, 1 3 1
36.00, 100, 1 1 2
41.34, 20, 0 2 3
49.33, 23, 2 0 0
51.71, 23, 0 0 4
61.34, 25, 1 5 3
62.63, 19, 1 7 1

Unit cell a=3.6948 b=11.6460 c=7.0672 alpha=90.00 beta=90.00 gamma=90.00
Space group Cmcm (No. 63)
One atom of each set of equivalent atoms:
Th 0.0000 0.0387 0.2500 x4
P 0.0000 0.2304 0.7500 x4
Ru 0.0000 0.3295 0.0521 x8
N 0.0000 0.5000 0.0000 x4

5.
For Na2LiThS4, DFT lattice parameters and positions (PBE) gives the computed X-ray powder pattern in this record (Cu Kα X-rays).
Intensities are scaled so that the largest is 100.

Largest 10 diffraction maxima, by angle, 5 to 70 degrees two-theta:
2θ/deg, Rel. int., h k l
13.77, 100, 1 0 1
15.67, 42, 0 0 2
21.38, 21, 0 2 0
25.52, 44, 1 2 1
26.25, 20, 1 0 3
31.42, 58, 2 2 0
31.65, 29, 0 0 4
34.10, 19, 1 2 3
35.31, 33, 2 2 2
45.20, 41, 2 2 4

Unit cell a=7.8160 b=8.3134 c=11.3091 alpha=90.00 beta=90.00 gamma=90.00
Space group Imma (No. 74)
One atom of each set of equivalent atoms:
Na 0.0000 0.0000 0.0000 x4
Na 0.2500 0.2500 0.2500 x4
Li 0.2500 0.2500 0.7500 x4
Th 0.0000 0.0000 0.5000 x4
S 0.0000 0.0143 0.7439 x8
S 0.2387 0.2500 0.5046 x8

6.
For ZnNi6B3, DFT lattice parameters and positions (PBE) gives the computed X-ray powder pattern in this record (Cu Kα X-rays).
Intensities are scaled so that the largest is 100.

Largest 10 diffraction maxima, by angle, 5 to 70 degrees two-theta:
2θ/deg, Rel. int., h k l
35.06, 47, 3 1 0
37.97, 41, 0 4 0
39.61, 42, 0 2 2
41.53, 37, 2 0 2
41.92, 61, 0 4 1
45.49, 24, 4 0 0
45.92, 100, 2 2 2
48.01, 56, 2 4 1
49.60, 27, 4 2 0
50.07, 41, 3 1 2

Unit cell a=7.9756 b=9.4783 c=5.1872 alpha=90.00 beta=90.00 gamma=90.00
Space group Cmc2_1 (No. 36)
One atom of each set of equivalent atoms:
Zn 0.0000 0.2154 0.0000 x4
Ni 0.0000 0.2727 0.4556 x4
Ni 0.0000 0.4827 0.7696 x4
Ni 0.1652 0.0386 0.3325 x8
Ni 0.2401 0.2026 0.7008 x8
B 0.0000 0.0901 0.6292 x4
B 0.1891 0.3991 0.5292 x8

7.
For Sm2SiW, DFT lattice parameters and positions (PBE) gives the computed X-ray powder pattern in this record (Cu Kα X-rays).
Intensities are scaled so that the largest is 100.

Largest 10 diffraction maxima, by angle, 5 to 70 degrees two-theta:
2θ/deg, Rel. int., h k l
8.28, 49, 0 0 3
25.01, 29, 0 0 9
33.24, 91, 1 0 1
33.58, 100, 0 0 12
43.79, 55, 1 0 10
45.77, 47, 0 1 11
50.06, 14, 1 0 13
59.16, 28, 1 1 0
65.23, 13, 1 1 9
69.76, 36, 1 1 12

Unit cell a=3.1236 b=3.1236 c=32.0495 alpha=90.00 beta=90.00 gamma=120.00
Space group R-3m (No. 166, hexagonal axes)
One atom of each set of equivalent atoms:
Sm 0.0000 0.0000 0.0908 x6
Si 0.0000 0.0000 0.5000 x3
W 0.0000 0.0000 0.0000 x3

8.
For PmDyMg2Au4, DFT lattice parameters and positions (PBE) gives the computed X-ray powder pattern in this record (Cu Kα X-rays).
Intensities are scaled so that the largest is 100.

Largest 10 diffraction maxima, by angle, 5 to 70 degrees two-theta:
2θ/deg, Rel. int., h k l
21.96, 17, 0 1 2
25.45, 34, 1 0 4
36.22, 100, 1 1 0
36.37, 97, 0 1 8
42.81, 10, 1 1 6
44.79, 8, 0 2 4
52.27, 35, 2 0 8
58.91, 7, 2 1 4
65.22, 54, 3 0 0
65.53, 17, 1 0 16

Unit cell a=4.9598 b=4.9598 c=24.1604 alpha=90.00 beta=90.00 gamma=120.00
Space group R-3m (No. 166, hexagonal axes)
One atom of each set of equivalent atoms:
Pm 0.0000 0.0000 0.0000 x3
Dy 0.0000 0.0000 0.5000 x3
Mg 0.0000 0.0000 0.2495 x6
Au 0.0000 0.0000 0.1283 x6
Au 0.0000 0.0000 0.3775 x6